This entry pairs a crystal structure of RbHg2H with its calculated X-ray diffraction stick pattern. Radiation: Cu Kα X-rays. Structure: a structure optimized by DFT (GGA-PBE).
Lines closer than 0.1° are merged.

Structural model:
```
data_RbHg2H
_space_group_name_H-M_alt 'P -1'
_space_group_IT_number 2
_cell_length_a 3.8300
_cell_length_b 5.9170
_cell_length_c 10.4174
_cell_angle_alpha 102.03
_cell_angle_beta 90.16
_cell_angle_gamma 108.56
loop_
_space_group_symop_operation_xyz
'x,y,z'
'-x,-y,-z'
loop_
_atom_site_label
_atom_site_fract_x
_atom_site_fract_y
_atom_site_fract_z
Rb1 0.1444 0.2849 0.1144
Hg1 0.0966 0.1927 0.7005
Hg2 0.3633 0.7282 0.5679
H1 0.4066 0.8146 0.1028
```

Top 12 peaks for 10 to 90 degrees two-theta, low angle first:
h k l  two_theta  I (rel.)
-1 1 1  26.8  38
0 1 -3  27.8  64
1 0 2  31.4  100
0 2 0  32.7  38
1 1 -1  33.6  33
1 -2 1  33.8  31
0 1 3  34.1  17
1 1 -2  35.6  40
1 -2 2  35.8  42
0 1 4  42.4  17
2 -1 0  47.5  18
0 3 -3  51.4  16